Computed powder XRD pattern
Compound: Ag7Te2Se2
Radiation: λ = 1.5418 Å (Cu Kα)
Structure: a DFT-relaxed cell (PBE, Alexandria)
Kinematic intensities with the Lorentz-polarization factor, no thermal factor.

Main lines, low angle first (2θ from 5° to 70°):
24.0 deg, I 37.5
24.2 deg, I 100.0
31.7 deg, I 31.4
34.2 deg, I 70.8
38.4 deg, I 74.5
39.9 deg, I 66.8
40.6 deg, I 42.3
41.8 deg, I 32.6
43.9 deg, I 44.1
46.1 deg, I 29.4

Cell: 6.438 6.438 6.601 Å, 92.33 92.33 87.19°
Element x y z (fractional)
1 Ag 0.000 0.000 0.000
2 Ag 0.129 0.601 0.494
3 Ag 0.215 0.572 0.003
4 Ag 0.554 0.554 0.364
5 Ag 0.572 0.215 0.003
6 Ag 0.601 0.129 0.494
7 Ag 0.670 0.670 0.963
8 Te 0.344 0.879 0.754
9 Te 0.879 0.344 0.754
10 Se 0.272 0.272 0.267
11 Se 0.830 0.830 0.312

***

Computed powder XRD pattern
Compound: Ag9Te3Se2
Radiation: λ = 1.5418 Å (Cu Kα)
Structure: a DFT-relaxed cell (PBE, Alexandria)
Kinematic intensities with the Lorentz-polarization factor, no thermal factor.

Main lines, low angle first (2θ from 5° to 70°):
19.2 deg, I 85.0
23.6 deg, I 96.3
24.9 deg, I 85.6
35.1 deg, I 93.2
36.3 deg, I 78.5
36.5 deg, I 77.1
37.9 deg, I 92.3
39.0 deg, I 100.0
39.8 deg, I 77.1
42.4 deg, I 88.0

Cell: 7.684 7.684 14.052 Å, 99.53 99.53 111.46°
Element x y z (fractional)
1 Ag 0.085 0.315 0.904
2 Ag 0.113 0.498 0.424
3 Ag 0.122 0.691 0.781
4 Ag 0.248 0.752 0.000
5 Ag 0.267 0.267 0.654
6 Ag 0.309 0.878 0.219
7 Ag 0.315 0.085 0.904
8 Ag 0.328 0.328 0.282
9 Ag 0.498 0.113 0.424
10 Ag 0.502 0.887 0.576
11 Ag 0.672 0.672 0.718
12 Ag 0.685 0.915 0.096
13 Ag 0.691 0.122 0.781
14 Ag 0.733 0.733 0.346
15 Ag 0.752 0.248 0.000
16 Ag 0.878 0.309 0.219
17 Ag 0.887 0.502 0.576
18 Ag 0.915 0.685 0.096
19 Te 0.023 0.023 0.738
20 Te 0.166 0.459 0.112
21 Te 0.459 0.166 0.112
22 Te 0.541 0.834 0.888
23 Te 0.834 0.541 0.888
24 Te 0.977 0.977 0.262
25 Se 0.262 0.591 0.624
26 Se 0.409 0.738 0.376
27 Se 0.591 0.262 0.624
28 Se 0.738 0.409 0.376

***

Computed powder XRD pattern
Compound: Ag4TeSe2
Radiation: λ = 1.5418 Å (Cu Kα)
Structure: a DFT-relaxed cell (PBE, Alexandria)
Kinematic intensities with the Lorentz-polarization factor, no thermal factor.

Main lines, low angle first (2θ from 5° to 70°):
22.1 deg, I 25.7
26.0 deg, I 42.4
27.1 deg, I 43.0
31.4 deg, I 62.8
41.2 deg, I 44.4
45.0 deg, I 100.0
53.4 deg, I 13.1
56.0 deg, I 12.6
62.7 deg, I 11.3
65.6 deg, I 13.8

Cell: 8.050 8.050 8.050 Å, 119.96 119.96 90.07°
Element x y z (fractional)
1 Ag 0.262 0.287 0.525
2 Ag 0.262 0.737 0.975
3 Ag 0.263 0.738 0.525
4 Ag 0.287 0.262 0.025
5 Ag 0.713 0.738 0.975
6 Ag 0.737 0.262 0.475
7 Ag 0.738 0.263 0.025
8 Ag 0.738 0.713 0.475
9 Te 0.125 0.875 0.250
10 Te 0.875 0.125 0.750
11 Se 0.000 0.500 0.500
12 Se 0.500 0.000 0.000
13 Se 0.500 0.500 0.000
14 Se 0.500 0.500 0.500

***

Computed powder XRD pattern
Compound: Ag4TeSe
Radiation: λ = 1.5418 Å (Cu Kα)
Structure: a DFT-relaxed cell (PBE, Alexandria)
Kinematic intensities with the Lorentz-polarization factor, no thermal factor.

Main lines, low angle first (2θ from 5° to 70°):
23.7 deg, I 78.7
28.2 deg, I 20.2
29.0 deg, I 28.1
34.3 deg, I 32.9
38.0 deg, I 100.0
38.5 deg, I 81.8
40.5 deg, I 43.8
40.9 deg, I 89.0
50.1 deg, I 20.3
67.0 deg, I 36.2

Cell: 6.319 7.167 6.165 Å, 90.00 90.00 90.00°
Element x y z (fractional)
1 Ag 0.242 0.203 0.000
2 Ag 0.242 0.297 0.500
3 Ag 0.242 0.703 0.500
4 Ag 0.242 0.797 0.000
5 Ag 0.758 0.203 0.000
6 Ag 0.758 0.297 0.500
7 Ag 0.758 0.703 0.500
8 Ag 0.758 0.797 0.000
9 Te 0.500 0.000 0.687
10 Te 0.500 0.500 0.187
11 Se 0.000 0.000 0.294
12 Se 0.000 0.500 0.794

***

Computed powder XRD pattern
Compound: Tl3Ag2TeSe6
Radiation: λ = 1.5418 Å (Cu Kα)
Structure: a DFT-relaxed cell (PBE, Alexandria)
Kinematic intensities with the Lorentz-polarization factor, no thermal factor.

Main lines, low angle first (2θ from 5° to 70°):
26.1 deg, I 9.0
26.2 deg, I 23.6
30.3 deg, I 100.0
30.4 deg, I 49.0
33.1 deg, I 8.9
43.3 deg, I 17.8
43.4 deg, I 53.8
43.5 deg, I 37.5
53.9 deg, I 29.2
63.0 deg, I 11.6

Cell: 7.218 7.218 7.225 Å, 99.40 99.40 120.18°
Element x y z (fractional)
1 Tl 0.000 0.000 0.000
2 Tl 0.335 0.665 0.000
3 Tl 0.665 0.335 0.000
4 Ag 0.167 0.833 0.500
5 Ag 0.833 0.167 0.500
6 Te 0.500 0.500 0.500
7 Se 0.089 0.423 0.281
8 Se 0.239 0.239 0.725
9 Se 0.423 0.089 0.281
10 Se 0.577 0.911 0.719
11 Se 0.761 0.761 0.275
12 Se 0.911 0.577 0.719

***

Computed powder XRD pattern
Compound: ThAg7Se6
Radiation: λ = 1.5418 Å (Cu Kα)
Structure: a DFT-relaxed cell (PBE, Alexandria)
Kinematic intensities with the Lorentz-polarization factor, no thermal factor.

Main lines, low angle first (2θ from 5° to 70°):
14.3 deg, I 23.5
16.1 deg, I 16.5
23.9 deg, I 9.5
27.0 deg, I 70.7
35.0 deg, I 100.0
41.9 deg, I 77.0
45.6 deg, I 44.0
50.6 deg, I 12.0
55.8 deg, I 22.7
63.7 deg, I 14.9

Cell: 8.262 8.262 8.262 Å, 53.69 53.69 53.69°
Element x y z (fractional)
1 Th 0.000 0.000 0.000
2 Ag 0.136 0.812 0.438
3 Ag 0.187 0.563 0.864
4 Ag 0.336 0.336 0.336
5 Ag 0.438 0.136 0.812
6 Ag 0.563 0.864 0.187
7 Ag 0.812 0.438 0.136
8 Ag 0.864 0.187 0.563
9 Se 0.073 0.411 0.736
10 Se 0.257 0.935 0.587
11 Se 0.411 0.736 0.073
12 Se 0.587 0.257 0.935
13 Se 0.736 0.073 0.411
14 Se 0.935 0.587 0.257